(1)
Computed X-ray diffraction stick pattern
Compound: LiMnPCO7
Radiation: copper Kα
Structure: a DFT-relaxed cell (PBE+U, the Materials Project)
Peak positions follow from Bragg's law for the DFT cell and can differ from measured ones.

Peak list (8 most intense, 15 to 90 degrees two-theta, low angle first)
2θ = 17.63°, I = 31; 2θ = 17.93°, I = 29; 2θ = 19.73°, I = 50; 2θ = 21.10°, I = 63; 2θ = 26.64°, I = 44; 2θ = 28.64°, I = 100; 2θ = 35.16°, I = 21; 2θ = 36.05°, I = 23

Cell and atoms:
Lattice parameters (Å, degrees): 5.117 6.237 16.672 90.96 94.26 90.27
Fractional positions:
Li 0.000 0.000 0.000
Li 0.002 0.439 0.500
Li 0.489 0.944 0.738
Li 0.494 0.941 0.241
Mn 0.040 0.219 0.204
Mn 0.041 0.234 0.705
Mn 0.452 0.720 0.034
Mn 0.452 0.726 0.534
P 0.523 0.216 0.082
P 0.523 0.223 0.582
P 0.970 0.724 0.156
P 0.970 0.725 0.657
C 0.536 0.717 0.394
C 0.536 0.733 0.894
C 0.955 0.223 0.344
C 0.957 0.208 0.844
O 0.038 0.523 0.204
O 0.038 0.536 0.713
O 0.072 0.910 0.214
O 0.073 0.922 0.708
O 0.103 0.706 0.577
O 0.104 0.737 0.076
O 0.190 0.233 0.317
O 0.191 0.226 0.817
O 0.301 0.719 0.421
O 0.302 0.713 0.921
O 0.389 0.204 0.162
O 0.389 0.212 0.662
O 0.421 0.415 0.530
O 0.422 0.030 0.024
O 0.454 0.029 0.526
O 0.454 0.417 0.034
O 0.583 0.749 0.823
O 0.584 0.734 0.323
O 0.668 0.745 0.637
O 0.669 0.750 0.137
O 0.717 0.701 0.455
O 0.719 0.734 0.955
O 0.774 0.203 0.283
O 0.775 0.208 0.783
O 0.824 0.192 0.102
O 0.825 0.246 0.602
O 0.907 0.235 0.415
O 0.909 0.194 0.915

(2)
Computed X-ray diffraction stick pattern
Compound: LiMnPCO7
Radiation: copper Kα
Structure: a DFT-relaxed cell (PBE+U, the Materials Project)
Peak positions follow from Bragg's law for the DFT cell and can differ from measured ones.

Peak list (8 most intense, 15 to 90 degrees two-theta, low angle first)
2θ = 17.71°, I = 68; 2θ = 19.66°, I = 57; 2θ = 20.98°, I = 73; 2θ = 22.47°, I = 29; 2θ = 25.42°, I = 40; 2θ = 26.47°, I = 51; 2θ = 28.61°, I = 100; 2θ = 40.50°, I = 24

Cell and atoms:
Lattice parameters (Å, degrees): 8.421 6.240 10.257 90.00 94.16 90.00
Fractional positions:
Li 0.242 0.029 0.374
Li 0.242 0.471 0.874
Li 0.758 0.529 0.126
Li 0.758 0.971 0.626
Mn 0.170 0.750 0.146
Mn 0.170 0.750 0.646
Mn 0.830 0.250 0.354
Mn 0.830 0.250 0.854
P 0.074 0.243 0.612
P 0.074 0.257 0.112
P 0.926 0.743 0.888
P 0.926 0.757 0.388
C 0.449 0.745 0.105
C 0.449 0.755 0.605
C 0.551 0.245 0.395
C 0.551 0.255 0.895
O 0.035 0.239 0.461
O 0.035 0.261 0.961
O 0.084 0.731 0.821
O 0.084 0.769 0.321
O 0.175 0.059 0.158
O 0.175 0.441 0.658
O 0.186 0.054 0.652
O 0.186 0.446 0.152
O 0.328 0.741 0.013
O 0.328 0.759 0.513
O 0.394 0.738 0.721
O 0.394 0.762 0.221
O 0.410 0.232 0.418
O 0.410 0.268 0.918
O 0.590 0.732 0.082
O 0.590 0.768 0.582
O 0.606 0.238 0.779
O 0.606 0.262 0.279
O 0.672 0.241 0.487
O 0.672 0.259 0.987
O 0.814 0.554 0.848
O 0.814 0.946 0.348
O 0.825 0.559 0.342
O 0.825 0.941 0.842
O 0.916 0.231 0.679
O 0.916 0.269 0.179
O 0.965 0.739 0.039
O 0.965 0.761 0.539

(3)
Computed X-ray diffraction stick pattern
Compound: LiMnPCO7
Radiation: copper Kα
Structure: a DFT-relaxed cell (PBE+U, the Materials Project)
Peak positions follow from Bragg's law for the DFT cell and can differ from measured ones.

Peak list (8 most intense, 15 to 90 degrees two-theta, low angle first)
2θ = 17.46°, I = 44; 2θ = 17.77°, I = 46; 2θ = 19.69°, I = 60; 2θ = 20.93°, I = 79; 2θ = 26.24°, I = 58; 2θ = 28.74°, I = 100; 2θ = 35.36°, I = 25; 2θ = 36.19°, I = 24

Cell and atoms:
Lattice parameters (Å, degrees): 6.214 9.699 10.178 62.38 89.48 88.82
Fractional positions:
Li 0.000 0.000 0.000
Li 0.008 0.991 0.504
Li 0.031 0.519 0.982
Li 0.503 0.525 0.478
Mn 0.266 0.098 0.175
Mn 0.276 0.098 0.674
Mn 0.769 0.420 0.309
Mn 0.776 0.421 0.807
P 0.265 0.331 0.317
P 0.271 0.330 0.817
P 0.766 0.187 0.666
P 0.777 0.189 0.166
C 0.235 0.827 0.849
C 0.281 0.826 0.352
C 0.775 0.694 0.632
C 0.784 0.693 0.135
O 0.072 0.429 0.327
O 0.084 0.447 0.800
O 0.216 0.689 0.940
O 0.231 0.944 0.882
O 0.237 0.297 0.183
O 0.243 0.175 0.960
O 0.257 0.943 0.386
O 0.264 0.881 0.704
O 0.278 0.296 0.682
O 0.288 0.882 0.206
O 0.289 0.175 0.460
O 0.297 0.688 0.444
O 0.459 0.438 0.294
O 0.472 0.417 0.822
O 0.570 0.105 0.169
O 0.578 0.072 0.702
O 0.720 0.341 0.524
O 0.749 0.637 0.279
O 0.750 0.579 0.598
O 0.777 0.638 0.778
O 0.795 0.222 0.301
O 0.797 0.576 0.101
O 0.798 0.832 0.541
O 0.805 0.343 0.022
O 0.805 0.831 0.046
O 0.806 0.223 0.798
O 0.958 0.070 0.176
O 0.963 0.098 0.645

(4)
Computed X-ray diffraction stick pattern
Compound: Li6MnVP2C2O14
Radiation: copper Kα
Structure: a DFT-relaxed cell (PBE+U, the Materials Project)
Peak positions follow from Bragg's law for the DFT cell and can differ from measured ones.

Peak list (8 most intense, 15 to 90 degrees two-theta, low angle first)
2θ = 19.63°, I = 29; 2θ = 21.67°, I = 51; 2θ = 25.57°, I = 20; 2θ = 25.99°, I = 31; 2θ = 27.01°, I = 100; 2θ = 36.48°, I = 31; 2θ = 40.69°, I = 22; 2θ = 51.07°, I = 17

Cell and atoms:
Lattice parameters (Å, degrees): 5.007 6.601 8.565 90.00 96.42 90.00
Fractional positions:
Li 0.000 0.000 0.000
Li 0.061 0.273 0.620
Li 0.061 0.727 0.620
Li 0.527 0.226 0.170
Li 0.527 0.774 0.170
Li 0.591 0.500 0.792
Mn 0.576 0.000 0.559
V 0.002 0.500 0.223
P 0.062 0.000 0.305
P 0.527 0.500 0.485
C 0.123 0.500 0.933
C 0.467 0.000 0.861
O 0.188 0.500 0.791
O 0.213 0.500 0.465
O 0.281 0.000 0.740
O 0.307 0.500 0.055
O 0.376 0.000 0.321
O 0.400 0.000 0.003
O 0.626 0.500 0.321
O 0.635 0.316 0.588
O 0.635 0.684 0.588
O 0.716 0.000 0.834
O 0.874 0.500 0.963
O 0.952 0.184 0.203
O 0.952 0.816 0.203
O 0.973 0.000 0.471